Calculated X-ray diffraction stick pattern
Compound: NaCa3P
Radiation: copper Kα
Structure: a DFT-relaxed cell (GGA-PBE, Alexandria)
Kinematic intensities with the Lorentz-polarization factor, no thermal factor.

Most intense lines, 2θ = 15–90°, low angle first:
- 15.80°, I = 19
- 25.87°, I = 40
- 27.04°, I = 100
- 31.90°, I = 55
- 34.52°, I = 100
- 34.92°, I = 18
- 40.79°, I = 36
- 47.12°, I = 50
- 54.53°, I = 26
- 59.72°, I = 18

Cell: 7.709 7.715 8.198 Å, 62.01 62.00 60.05°
Sites, in units of the cell vectors:
Na  0.093  0.092  0.222
Na  0.907  0.908  0.778
Ca  0.091  0.585  0.237
Ca  0.414  0.414  0.763
Ca  0.414  0.909  0.763
Ca  0.586  0.091  0.237
Ca  0.586  0.586  0.237
Ca  0.909  0.415  0.763
P  0.331  0.331  0.507
P  0.669  0.669  0.493

---

Calculated X-ray diffraction stick pattern
Compound: Tm4InBi
Radiation: copper Kα
Structure: a DFT-relaxed cell (GGA-PBE, Alexandria)
Kinematic intensities with the Lorentz-polarization factor, no thermal factor.

Most intense lines, 2θ = 15–90°, low angle first:
- 29.24°, I = 23
- 32.09°, I = 61
- 32.76°, I = 35
- 33.62°, I = 100
- 34.79°, I = 84
- 38.82°, I = 26
- 46.51°, I = 27
- 58.20°, I = 28
- 62.16°, I = 20
- 68.58°, I = 26

Cell: 10.982 10.982 6.378 Å, 90.00 90.00 150.58°
Sites, in units of the cell vectors:
Tm  0.064  0.936  0.750
Tm  0.208  0.792  0.501
Tm  0.208  0.792  0.999
Tm  0.364  0.636  0.750
Tm  0.636  0.364  0.250
Tm  0.792  0.208  0.001
Tm  0.792  0.208  0.499
Tm  0.936  0.064  0.250
In  0.077  0.923  0.250
In  0.923  0.077  0.750
Bi  0.350  0.650  0.250
Bi  0.650  0.350  0.750